This entry pairs a crystal structure of Cr2AsRu with its calculated powder diffractogram. Radiation: copper Kα. Structure: a cell relaxed with PBE.
Peak positions follow from Bragg's law for the DFT cell and can differ from measured ones.

Top 10 peaks for 2θ = 10–90°, sorted by position:
2θ (°)	Rel. int.
11.31	13
40.04	100
41.74	7
46.42	20
48.55	54
66.40	21
75.65	12
80.45	12
84.86	19
86.43	10

Cell lengths 2.8157, 2.8157, 23.4719 Å; angles 90.00, 90.00, 120.00 degrees
Space group R3m (No. 160, hexagonal axes)
Asymmetric unit:
Cr1 0.0000 0.0000 0.0000 x3
Cr2 0.0000 0.0000 0.2591 x3
As1 0.0000 0.0000 0.5092 x3
Ru1 0.0000 0.0000 0.7522 x3

This entry pairs a crystal structure of PrNd6Pb with its calculated powder diffractogram. Radiation: copper Kα. Structure: a cell relaxed with PBE.
Peak positions follow from Bragg's law for the DFT cell and can differ from measured ones.

Top 10 peaks for 2θ = 10–90°, sorted by position:
2θ (°)	Rel. int.
30.27	100
34.13	18
35.57	33
50.12	24
51.18	12
58.72	15
60.63	28
62.96	12
81.60	12
83.26	6

Cell lengths 5.0481, 5.0481, 10.5095 Å; angles 90.00, 90.00, 90.00 degrees
Space group P4/mmm (No. 123)
Asymmetric unit:
Pr1 0.0000 0.0000 0.0000 x1
Nd1 0.0000 0.5000 0.2583 x4
Nd2 0.5000 0.5000 0.0000 x1
Nd3 0.5000 0.5000 0.5000 x1
Pb1 0.0000 0.0000 0.5000 x1

This entry pairs a crystal structure of BaCuP2Cl with its calculated powder diffractogram. Radiation: copper Kα. Structure: a cell relaxed with PBE.
Peak positions follow from Bragg's law for the DFT cell and can differ from measured ones.

Top 10 peaks for 2θ = 10–90°, sorted by position:
2θ (°)	Rel. int.
24.66	100
28.38	40
28.87	57
31.93	50
40.57	43
40.93	30
48.05	34
48.68	16
50.56	44
66.74	19

Cell lengths 4.4475, 4.4475, 6.1847 Å; angles 90.00, 90.00, 90.00 degrees
Space group P4/mmm (No. 123)
Asymmetric unit:
Ba1 0.0000 0.0000 0.0000 x1
Cu1 0.5000 0.5000 0.5000 x1
P1 0.0000 0.5000 0.5000 x2
Cl1 0.5000 0.5000 0.0000 x1

This entry pairs a crystal structure of Ac2PrCd2Sn2 with its calculated powder diffractogram. Radiation: copper Kα. Structure: a cell relaxed with PBE.
Peak positions follow from Bragg's law for the DFT cell and can differ from measured ones.

Top 10 peaks for 2θ = 10–90°, sorted by position:
2θ (°)	Rel. int.
21.69	15
23.68	17
27.60	28
29.22	100
37.78	61
45.52	17
48.47	25
53.94	14
63.04	23
68.23	11

Cell lengths 4.7620, 4.7620, 36.4127 Å; angles 90.00, 90.00, 120.00 degrees
Space group R-3m (No. 166, hexagonal axes)
Asymmetric unit:
Ac1 0.0000 0.0000 0.1227 x6
Pr1 0.0000 0.0000 0.0000 x3
Cd1 0.0000 0.0000 0.3814 x6
Sn1 0.0000 0.0000 0.2666 x6

This entry pairs a crystal structure of SrAc2ZrO6 with its calculated powder diffractogram. Radiation: copper Kα. Structure: a cell relaxed with PBE.
Peak positions follow from Bragg's law for the DFT cell and can differ from measured ones.

Top 10 peaks for 2θ = 10–90°, sorted by position:
2θ (°)	Rel. int.
15.74	26
21.87	11
27.06	100
31.12	35
31.78	11
35.05	13
38.91	18
44.59	19
45.08	26
52.93	32

Cell lengths 5.7478, 5.7478, 5.6315 Å; angles 90.00, 90.00, 90.00 degrees
Space group P4mm (No. 99)
Asymmetric unit:
Sr1 0.0000 0.0000 0.0000 x1
Ac1 0.0000 0.5000 0.4386 x2
Zr1 0.5000 0.5000 0.0399 x1
O1 0.0000 0.0000 0.5782 x1
O2 0.2664 0.2664 0.1859 x4
O3 0.5000 0.5000 0.6815 x1

This entry pairs a crystal structure of TcOsRu with its calculated powder diffractogram. Radiation: copper Kα. Structure: a cell relaxed with PBE.
Peak positions follow from Bragg's law for the DFT cell and can differ from measured ones.

Top 10 peaks for 2θ = 10–90°, sorted by position:
2θ (°)	Rel. int.
23.80	19
33.04	14
41.12	92
41.85	100
54.32	21
60.12	30
69.32	7
75.93	30
76.42	17
84.37	26

Cell lengths 4.3175, 4.3175, 2.7113 Å; angles 90.00, 90.00, 120.00 degrees
Space group P-6m2 (No. 187)
Asymmetric unit:
Tc1 0.0000 0.0000 0.0000 x1
Os1 0.6667 0.3333 0.0000 x1
Ru1 0.3333 0.6667 0.5000 x1

This entry pairs a crystal structure of GaNiPdPt with its calculated powder diffractogram. Radiation: copper Kα. Structure: a cell relaxed with PBE.
Peak positions follow from Bragg's law for the DFT cell and can differ from measured ones.

Top 10 peaks for 2θ = 10–90°, sorted by position:
2θ (°)	Rel. int.
24.47	13
32.18	13
40.83	100
46.14	35
50.15	14
67.31	11
70.51	19
81.82	26
87.81	11
88.48	11

Cell lengths 3.6383, 3.9338, 3.9348 Å; angles 90.00, 90.00, 90.00 degrees
Space group Pmmm (No. 47)
Asymmetric unit:
Ga1 0.0000 0.0000 0.0000 x1
Ni1 0.0000 0.5000 0.5000 x1
Pd1 0.5000 0.5000 0.0000 x1
Pt1 0.5000 0.0000 0.5000 x1

This entry pairs a crystal structure of Ac2CeSb with its calculated powder diffractogram. Radiation: copper Kα. Structure: a cell relaxed with PBE.
Peak positions follow from Bragg's law for the DFT cell and can differ from measured ones.

Top 10 peaks for 2θ = 10–90°, sorted by position:
2θ (°)	Rel. int.
30.18	100
34.61	35
35.74	16
49.76	13
50.60	24
59.30	30
60.80	14
62.76	13
81.00	6
82.30	12

Cell lengths 5.1831, 5.1831, 5.0252 Å; angles 90.00, 90.00, 90.00 degrees
Space group P4/mmm (No. 123)
Asymmetric unit:
Ac1 0.0000 0.5000 0.0000 x2
Ce1 0.0000 0.0000 0.5000 x1
Sb1 0.5000 0.5000 0.5000 x1

This entry pairs a crystal structure of Nd6Ho3Er2 with its calculated powder diffractogram. Radiation: copper Kα. Structure: a cell relaxed with PBE.
Peak positions follow from Bragg's law for the DFT cell and can differ from measured ones.

Top 10 peaks for 2θ = 10–90°, sorted by position:
2θ (°)	Rel. int.
29.15	62
30.74	100
31.54	86
31.87	85
31.98	75
32.14	76
42.33	22
43.42	21
48.42	28
55.72	36

Cell lengths 6.1300, 6.7783, 9.8514 Å; angles 89.07, 88.99, 64.26 degrees
Space group P-1 (No. 2)
Asymmetric unit:
Nd1 0.0989 0.3923 0.3179 x2
Nd2 0.2115 0.2263 0.9532 x2
Nd3 0.2492 0.8513 0.2256 x2
Ho1 0.3433 0.6794 0.8673 x2
Ho2 0.5000 0.5000 0.5000 x1
Er1 0.2706 0.0469 0.6025 x2

This entry pairs a crystal structure of Ba2SbAuSe5 with its calculated powder diffractogram. Radiation: copper Kα. Structure: a cell relaxed with PBE.
Peak positions follow from Bragg's law for the DFT cell and can differ from measured ones.

Top 10 peaks for 2θ = 10–90°, sorted by position:
2θ (°)	Rel. int.
24.15	24
25.08	21
25.89	29
26.20	46
29.48	33
30.96	100
33.20	55
36.99	36
41.92	42
42.97	39

Cell lengths 4.3105, 21.3012, 11.8711 Å; angles 90.00, 90.00, 90.00 degrees
Space group Cmc2_1 (No. 36)
Asymmetric unit:
Ba1 0.0000 0.1115 0.0000 x4
Ba2 0.0000 0.1181 0.4160 x4
Sb1 0.0000 0.2338 0.7013 x4
Au1 0.0000 0.4456 0.1330 x4
Se1 0.0000 0.0965 0.7156 x4
Se2 0.0000 0.2679 0.0404 x4
Se3 0.0000 0.2741 0.3615 x4
Se4 0.0000 0.3604 0.7068 x4
Se5 0.0000 0.5004 0.4448 x4

This entry pairs a crystal structure of Mg3Ag with its calculated powder diffractogram. Radiation: copper Kα. Structure: a cell relaxed with PBE.
Peak positions follow from Bragg's law for the DFT cell and can differ from measured ones.

Top 10 peaks for 2θ = 10–90°, sorted by position:
2θ (°)	Rel. int.
20.37	43
21.72	31
24.03	100
37.97	94
38.10	76
43.58	40
45.54	20
54.88	26
57.50	20
68.78	32

Cell lengths 8.1830, 8.1830, 8.7199 Å; angles 90.00, 90.00, 120.00 degrees
Space group P6_3cm (No. 185)
Asymmetric unit:
Mg1 0.0000 0.0000 0.0921 x2
Mg2 0.0000 0.2795 0.3396 x6
Mg3 0.0000 0.3746 0.0000 x6
Mg4 0.3333 0.6667 0.2260 x4
Ag1 0.0000 0.3287 0.6691 x6

This entry pairs a crystal structure of TlInSe with its calculated powder diffractogram. Radiation: copper Kα. Structure: a cell relaxed with PBE.
Peak positions follow from Bragg's law for the DFT cell and can differ from measured ones.

Top 10 peaks for 2θ = 10–90°, sorted by position:
2θ (°)	Rel. int.
28.29	100
28.73	8
39.05	12
40.36	25
40.55	23
41.72	13
48.78	6
51.20	13
58.46	7
66.45	6

Cell lengths 4.3301, 7.0320, 7.2492 Å; angles 66.49, 72.67, 72.13 degrees
Space group P-1 (No. 2)
Asymmetric unit:
Tl1 0.0998 0.2208 0.0797 x2
In1 0.3958 0.2546 0.4531 x2
Se1 0.2425 0.7365 0.2786 x2